This entry pairs a crystal structure of Sm2Dy2CBr5 with its computed powder diffraction line list. Radiation: Cu Kα. Structure: a crystal structure in OQMD, relaxed with GGA-PBE.

The 10 most intense peaks (10 to 90 degrees two-theta), low angle first:
2θ 10.1, intensity 20, (2 0 0)
2θ 10.9, intensity 57, (0 0 1)
2θ 30.7, intensity 41, (6 0 0)
2θ 31.1, intensity 22, (3 1 1)
2θ 31.6, intensity 100, (1 1 -2)
2θ 34.6, intensity 33, (5 1 0)
2θ 40.1, intensity 18, (6 0 -3)
2θ 44.5, intensity 26, (5 1 2)
2θ 44.8, intensity 25, (7 1 -2)
2θ 47.0, intensity 18, (0 2 0)

Unit cell a=17.9338 b=3.8704 c=8.3049 alpha=90.00 beta=102.92 gamma=90.00
Space group C2/m (No. 12)
Inequivalent atoms, fractional coordinates:
Sm 0.0012 0.0000 0.2957
Dy 0.1376 0.5000 0.5714
C 0.0000 0.5000 0.5000
Br 0.0000 0.5000 0.0000
Br 0.1665 0.0000 0.8313
Br 0.1726 0.0000 0.3388


This entry pairs a crystal structure of Tm3AuN6 with its computed powder diffraction line list. Radiation: Cu Kα. Structure: a crystal structure in OQMD, relaxed with GGA-PBE.

The 10 most intense peaks (10 to 90 degrees two-theta), low angle first:
2θ 29.9, intensity 84, (0 1 -2)
2θ 30.2, intensity 85, (-1 1 1)
2θ 31.1, intensity 80, (1 0 1)
2θ 31.9, intensity 100, (1 1 -1)
2θ 32.8, intensity 69, (0 2 0)
2θ 35.8, intensity 74, (0 1 2)
2θ 39.8, intensity 65, (1 -2 1)
2θ 50.9, intensity 27, (2 -1 0)
2θ 51.3, intensity 30, (1 2 1)
2θ 59.0, intensity 25, (1 3 -1)

Unit cell a=3.6788 b=5.6272 c=6.4753 alpha=99.99 beta=99.25 gamma=98.35
Space group P-1 (No. 2)
Inequivalent atoms, fractional coordinates:
Tm 0.0000 0.0000 0.0000
Tm 0.2814 0.4976 0.7103
Au 0.5000 0.0000 0.5000
N 0.1976 0.2733 0.3544
N 0.2537 0.7388 0.2027
N 0.4560 0.7497 0.0516